This entry pairs a crystal structure of CaMn2BiO6 with its theoretical powder X-ray diffraction pattern. Radiation: Cu Kα. Structure: a PBE+U-relaxed structure.
Neutral-atom scattering factors, no anomalous dispersion.

Structural model:
abc: 5.4599 5.4599 5.4797
angles: 119.82 119.82 89.35
Fractional coordinates of all 10 atoms:
Ca 0.0000 0.0000 0.0000
Mn 0.2416 0.7402 0.4866
Mn 0.7402 0.2416 0.4866
Bi 0.4641 0.4641 0.9727
O 0.0427 0.4453 0.9861
O 0.0487 0.4410 0.4927
O 0.4410 0.0487 0.4927
O 0.4453 0.0427 0.9861
O 0.5796 0.5796 0.5549
O 0.9056 0.9056 0.4020

Principal peaks in the range 2θ from 10° to 90°, in order of falling intensity:
| 2theta | d/Å | I_rel |
| --- | --- | --- |
| 32.7 | 2.741 | 100 |
| 32.8 | 2.730 | 68 |
| 19.7 | 4.498 | 57 |
| 19.9 | 4.460 | 54 |
| 32.3 | 2.775 | 30 |
| 58.5 | 1.578 | 27 |
| 38.3 | 2.348 | 26 |
| 46.4 | 1.959 | 22 |